# 1
The following is a calculated XRD peak list of Tb2Dy3Mg8. It was derived from the GGA-PBE geometry in Alexandria, using Cu Ka.
Intensities are scaled so that the largest is 100.

Principal peaks in the range 15° ≤ 2θ ≤ 90°, by intensity:
2theta  I_rel  h k l
31.9  100  0 1 11
30.6  90  1 1 0
21.3  77  0 1 5
34.0  76  1 1 6
55.3  42  1 2 11
37.6  29  2 0 5

```
data_Tb2Dy3Mg8
_chemical_formula_sum 'Tb6 Dy9 Mg24'
_symmetry_space_group_name_H-M 'R -3 m'
_symmetry_Int_Tables_number 166
_symmetry_space_group_name_Hall '-R 3 2"'
_cell_length_a 5.8372
_cell_length_b 5.8372
_cell_length_c 37.0588
_cell_angle_alpha 90.00
_cell_angle_beta 90.00
_cell_angle_gamma 120.00
loop_
_atom_site_label
_atom_site_fract_x
_atom_site_fract_y
_atom_site_fract_z
Tb1 0.0000 0.0000 0.1399
Dy1 0.0000 0.0000 0.3165
Dy2 0.0000 0.0000 0.5000
Mg1 0.0000 0.0000 0.2252
Mg2 0.0007 0.5003 0.2701
```


# 2
The following is a calculated XRD peak list of Ce2ZrP3Rh4. It was derived from the GGA-PBE geometry in Alexandria, using Cu Ka.
Intensities are scaled so that the largest is 100.

Principal peaks in the range 15° ≤ 2θ ≤ 90°, by intensity:
2theta  I_rel  h k l
35.8  100  1 1 2
45.4  42  2 0 0
33.3  30  1 0 3
77.5  22  3 1 2
47.4  21  1 0 5
27.6  19  1 0 2

```
data_Ce2ZrP3Rh4
_chemical_formula_sum 'Ce2 Zr1 P3 Rh4'
_symmetry_space_group_name_H-M 'P -4 m 2'
_symmetry_Int_Tables_number 115
_symmetry_space_group_name_Hall 'P -4 -2'
_cell_length_a 3.9985
_cell_length_b 3.9985
_cell_length_c 10.9350
_cell_angle_alpha 90.00
_cell_angle_beta 90.00
_cell_angle_gamma 90.00
loop_
_atom_site_label
_atom_site_fract_x
_atom_site_fract_y
_atom_site_fract_z
Ce1 0.0000 0.5000 0.2288
Zr1 0.0000 0.0000 0.5000
P1 0.0000 0.5000 0.8716
P2 0.5000 0.5000 0.5000
Rh1 0.0000 0.0000 0.0000
Rh2 0.0000 0.5000 0.6566
Rh3 0.5000 0.5000 0.0000
```


# 3
The following is a calculated XRD peak list of Mn2Zn12Ir. It was derived from the GGA-PBE geometry in Alexandria, using Cu Ka.
Intensities are scaled so that the largest is 100.

Principal peaks in the range 15° ≤ 2θ ≤ 90°, by intensity:
2theta  I_rel  h k l
42.2  100  0 1 8
43.3  58  1 1 4
42.5  53  0 2 0
48.2  40  1 1 6
37.5  32  1 0 4
34.0  29  1 0 2

```
data_Mn2Zn12Ir
_chemical_formula_sum 'Mn2 Zn12 Ir1'
_symmetry_space_group_name_H-M 'P m m m'
_symmetry_Int_Tables_number 47
_symmetry_space_group_name_Hall '-P 2 2'
_cell_length_a 2.7373
_cell_length_b 4.2550
_cell_length_c 19.8266
_cell_angle_alpha 90.00
_cell_angle_beta 90.00
_cell_angle_gamma 90.00
loop_
_atom_site_label
_atom_site_fract_x
_atom_site_fract_y
_atom_site_fract_z
Mn1 0.0000 0.0000 0.2491
Zn1 0.0000 0.5000 0.0639
Zn2 0.0000 0.5000 0.4289
Zn3 0.5000 0.0000 0.1141
Zn4 0.5000 0.0000 0.3822
Zn5 0.5000 0.5000 0.1863
Zn6 0.5000 0.5000 0.3089
Ir1 0.0000 0.0000 0.5000
```